Structure and theoretical XRD peak list of InIO5 (a cell relaxed with PBE; Cu Kα (λ = 1.5418 Å)).
No peak broadening, texture or thermal motion is included.

Largest 6 diffraction maxima, most intense first, 5° ≤ 2θ ≤ 70°:
- 20.30 deg, I = 100
- 27.71 deg, I = 74
- 34.59 deg, I = 74
- 25.20 deg, I = 55
- 50.45 deg, I = 37
- 32.58 deg, I = 31

Structure:
```
data_InIO5
_chemical_formula_sum 'In8 I8 O40'
_space_group_name_H-M_alt 'P n m a'
_space_group_IT_number 62
_cell_length_a 8.7484
_cell_length_b 7.2331
_cell_length_c 14.1333
_cell_angle_alpha 90.00
_cell_angle_beta 90.00
_cell_angle_gamma 90.00
loop_
_space_group_symop_operation_xyz
'x,y,z'
'-x,-y,-z'
'-x+1/2,-y,z+1/2'
'x+1/2,y,-z+1/2'
'x+1/2,-y+1/2,-z+1/2'
'-x+1/2,y+1/2,z+1/2'
'-x,y+1/2,-z'
'x,-y+1/2,z'
loop_
_atom_site_label
_atom_site_fract_x
_atom_site_fract_y
_atom_site_fract_z
In1 0.0000 0.0000 0.0000
In2 0.0000 0.0000 0.5000
I1 0.0036 0.2500 0.2310
I2 0.0374 0.2500 0.7334
O1 0.0140 0.5527 0.3463
O2 0.0516 0.5535 0.8486
O3 0.0864 0.7500 0.0421
O4 0.0941 0.2500 0.4624
O5 0.2062 0.2500 0.2097
O6 0.2411 0.2500 0.7178
O7 0.2485 0.6585 0.5039
```


Structure and theoretical XRD peak list of Rb3InI6O18 (a cell relaxed with PBE; Cu Kα (λ = 1.5418 Å)).
No peak broadening, texture or thermal motion is included.

Largest 6 diffraction maxima, most intense first, 5° ≤ 2θ ≤ 70°:
- 25.88 deg, I = 100
- 27.02 deg, I = 69
- 25.73 deg, I = 63
- 29.39 deg, I = 34
- 27.29 deg, I = 33
- 30.77 deg, I = 31

Structure:
```
data_Rb3InI6O18
_chemical_formula_sum 'Rb3 In1 I6 O18'
_space_group_name_H-M_alt 'P -1'
_space_group_IT_number 2
_cell_length_a 7.2173
_cell_length_b 7.2268
_cell_length_c 10.9489
_cell_angle_alpha 87.87
_cell_angle_beta 71.75
_cell_angle_gamma 72.64
loop_
_space_group_symop_operation_xyz
'x,y,z'
'-x,-y,-z'
loop_
_atom_site_label
_atom_site_fract_x
_atom_site_fract_y
_atom_site_fract_z
Rb1 0.0000 0.0000 0.0000
Rb2 0.1682 0.0234 0.6011
In1 0.5000 0.5000 0.0000
I1 0.0255 0.5280 0.8110
I2 0.4140 0.4474 0.3602
I3 0.4445 0.9557 0.1895
O1 0.0430 0.5502 0.3208
O2 0.0828 0.2078 0.1843
O3 0.1705 0.5399 0.0504
O4 0.2904 0.1559 0.8137
O5 0.3073 0.8434 0.3262
O6 0.3376 0.5702 0.6177
O7 0.4078 0.2007 0.3963
O8 0.4303 0.8127 0.0549
O9 0.4726 0.6049 0.8174
```


Structure and theoretical XRD peak list of Rb2InI6O18 (a cell relaxed with PBE; Cu Kα (λ = 1.5418 Å)).
No peak broadening, texture or thermal motion is included.

Largest 6 diffraction maxima, most intense first, 5° ≤ 2θ ≤ 70°:
- 27.28 deg, I = 100
- 27.43 deg, I = 68
- 24.15 deg, I = 65
- 25.89 deg, I = 59
- 23.00 deg, I = 35
- 46.70 deg, I = 28

Structure:
```
data_Rb2InI6O18
_chemical_formula_sum 'Rb2 In1 I6 O18'
_space_group_name_H-M_alt 'P -1'
_space_group_IT_number 2
_cell_length_a 7.8908
_cell_length_b 7.8977
_cell_length_c 7.9038
_cell_angle_alpha 98.31
_cell_angle_beta 97.30
_cell_angle_gamma 97.39
loop_
_space_group_symop_operation_xyz
'x,y,z'
'-x,-y,-z'
loop_
_atom_site_label
_atom_site_fract_x
_atom_site_fract_y
_atom_site_fract_z
Rb1 0.1638 0.1608 0.1748
In1 0.5000 0.5000 0.5000
I1 0.1182 0.6866 0.3321
I2 0.3027 0.6701 0.8699
I3 0.3348 0.1297 0.7072
O1 0.0661 0.6634 0.0965
O2 0.1010 0.0872 0.6952
O3 0.1064 0.6130 0.7080
O4 0.2743 0.5297 0.3254
O5 0.2761 0.8853 0.3758
O6 0.3059 0.9020 0.9290
O7 0.3273 0.2850 0.5525
O8 0.3962 0.2884 0.9058
O9 0.4591 0.6898 0.7141
```


Structure and theoretical XRD peak list of RbInI4 (a cell relaxed with PBE; Cu Kα (λ = 1.5418 Å)).
No peak broadening, texture or thermal motion is included.

Largest 6 diffraction maxima, most intense first, 5° ≤ 2θ ≤ 70°:
- 24.09 deg, I = 100
- 24.86 deg, I = 85
- 26.78 deg, I = 55
- 42.40 deg, I = 42
- 13.75 deg, I = 37
- 25.15 deg, I = 34

Structure:
```
data_RbInI4
_chemical_formula_sum 'Rb18 In18 I72'
_space_group_name_H-M_alt 'R 3 c'
_space_group_IT_number 161
_space_group_name_Hall 'R 3 -2"c'
_cell_length_a 25.5353
_cell_length_b 25.5353
_cell_length_c 10.1113
_cell_angle_alpha 90.00
_cell_angle_beta 90.00
_cell_angle_gamma 120.00
loop_
_atom_site_label
_atom_site_fract_x
_atom_site_fract_y
_atom_site_fract_z
Rb1 0.1360 0.4598 0.0000
In1 0.1413 0.4648 0.4873
I1 0.0120 0.2796 0.0091
I2 0.0877 0.2291 0.6522
I3 0.1191 0.0328 0.9433
I4 0.1589 0.3837 0.3391
```


Structure and theoretical XRD peak list of RbInI3 (a cell relaxed with PBE; Cu Kα (λ = 1.5418 Å)).
No peak broadening, texture or thermal motion is included.

Largest 6 diffraction maxima, most intense first, 5° ≤ 2θ ≤ 70°:
- 28.76 deg, I = 100
- 41.12 deg, I = 74
- 24.84 deg, I = 69
- 14.26 deg, I = 39
- 67.46 deg, I = 32
- 48.64 deg, I = 31

Structure:
```
data_RbInI3
_chemical_formula_sum 'Rb8 In8 I24'
_space_group_name_H-M_alt 'F m -3 m'
_space_group_IT_number 225
_space_group_name_Hall '-F 4 2 3'
_cell_length_a 12.4181
_cell_length_b 12.4181
_cell_length_c 12.4181
_cell_angle_alpha 90.00
_cell_angle_beta 90.00
_cell_angle_gamma 90.00
loop_
_atom_site_label
_atom_site_fract_x
_atom_site_fract_y
_atom_site_fract_z
Rb1 0.2500 0.2500 0.2500
In1 0.0000 0.0000 0.0000
In2 0.0000 0.0000 0.5000
I1 0.0000 0.0000 0.2405
```


Structure and theoretical XRD peak list of Rb3InI6 (a cell relaxed with PBE; Cu Kα (λ = 1.5418 Å)).
No peak broadening, texture or thermal motion is included.

Largest 6 diffraction maxima, most intense first, 5° ≤ 2θ ≤ 70°:
- 27.84 deg, I = 100
- 24.05 deg, I = 78
- 39.78 deg, I = 71
- 13.82 deg, I = 37
- 47.03 deg, I = 31
- 65.09 deg, I = 27

Structure:
```
data_Rb3InI6
_chemical_formula_sum 'Rb12 In4 I24'
_space_group_name_H-M_alt 'F m -3 m'
_space_group_IT_number 225
_space_group_name_Hall '-F 4 2 3'
_cell_length_a 12.8169
_cell_length_b 12.8169
_cell_length_c 12.8169
_cell_angle_alpha 90.00
_cell_angle_beta 90.00
_cell_angle_gamma 90.00
loop_
_atom_site_label
_atom_site_fract_x
_atom_site_fract_y
_atom_site_fract_z
Rb1 0.0000 0.0000 0.0000
Rb2 0.2500 0.2500 0.2500
In1 0.0000 0.0000 0.5000
I1 0.0000 0.0000 0.2707
```


Structure and theoretical XRD peak list of InSeI (a cell relaxed with PBE; Cu Kα (λ = 1.5418 Å)).
No peak broadening, texture or thermal motion is included.

Largest 6 diffraction maxima, most intense first, 5° ≤ 2θ ≤ 70°:
- 9.14 deg, I = 100
- 27.70 deg, I = 87
- 26.04 deg, I = 76
- 26.24 deg, I = 51
- 45.03 deg, I = 51
- 18.29 deg, I = 43

Structure:
```
data_InSeI
_chemical_formula_sum 'In32 Se32 I32'
_space_group_name_H-M_alt 'I 41/a'
_space_group_IT_number 88
_cell_length_a 19.3474
_cell_length_b 19.3474
_cell_length_c 10.3980
_cell_angle_alpha 90.00
_cell_angle_beta 90.00
_cell_angle_gamma 90.00
loop_
_space_group_symop_operation_xyz
'x,y,z'
'-x,-y,-z'
'-y+3/4,x+1/4,z+1/4'
'y+3/4,-x+1/4,-z+1/4'
'-x+1/2,-y,z+1/2'
'x+1/2,y,-z+1/2'
'y+3/4,-x+3/4,z+3/4'
'-y+3/4,x+3/4,-z+3/4'
'x+1/2,y+1/2,z+1/2'
'-x+1/2,-y+1/2,-z+1/2'
'-y+1/4,x+3/4,z+3/4'
'y+1/4,-x+3/4,-z+3/4'
'-x,-y+1/2,z'
'x,y+1/2,-z'
'y+1/4,-x+1/4,z+1/4'
'-y+1/4,x+1/4,-z+1/4'
loop_
_atom_site_label
_atom_site_fract_x
_atom_site_fract_y
_atom_site_fract_z
In1 0.1420 0.4674 0.4930
In2 0.1518 0.0508 0.1279
Se1 0.1300 0.0019 0.7542
Se2 0.1642 0.0858 0.3757
I1 0.0291 0.3957 0.5725
I2 0.0306 0.1060 0.0472
```